No. 1
Computed PXRD pattern of B2H2I7 for λ = 1.5418 Å (Cu Kα), from a cell relaxed with PBE.
No peak broadening, texture or thermal motion is included.

a b c (Å): 7.005 9.056 9.423
angles (deg): 97.96 103.24 105.56
Fractional positions:
B: 0.245 0.310 0.288
B: 0.755 0.690 0.712
H: 0.435 0.724 0.341
H: 0.565 0.276 0.659
I: 0.038 0.814 0.680
I: 0.328 0.279 0.087
I: 0.366 0.842 0.237
I: 0.500 0.500 0.500
I: 0.634 0.158 0.763
I: 0.672 0.721 0.913
I: 0.962 0.186 0.320

Principal peaks in the range 2θ from 5° to 70°, by angle:
2theta, intensity
14.4, 31
19.0, 34
20.8, 34
21.1, 66
23.1, 87
23.2, 100
24.6, 66
26.5, 74
27.2, 50
29.5, 55


No. 2
Computed PXRD pattern of InB3H for λ = 1.5418 Å (Cu Kα), from a cell relaxed with PBE.
No peak broadening, texture or thermal motion is included.

a b c (Å): 3.663 3.663 3.663
angles (deg): 90.00 90.00 90.00
Fractional positions:
In: 0.000 0.000 0.000
B: 0.000 0.500 0.500
B: 0.500 0.000 0.500
B: 0.500 0.500 0.000
H: 0.500 0.500 0.500

Principal peaks in the range 2θ from 5° to 70°, by angle:
2theta, intensity
24.3, 100
34.6, 87
42.8, 50
49.8, 24
56.1, 41
62.1, 31


No. 3
Computed PXRD pattern of NaInBP2HO9 for λ = 1.5418 Å (Cu Kα), from a cell relaxed with PBE.
No peak broadening, texture or thermal motion is included.

a b c (Å): 5.218 17.205 9.118
angles (deg): 90.00 121.60 90.00
Fractional positions:
Na: 0.013 0.171 0.158
Na: 0.013 0.329 0.658
Na: 0.987 0.671 0.342
Na: 0.987 0.829 0.842
In: 0.487 0.659 0.809
In: 0.487 0.841 0.309
In: 0.513 0.159 0.691
In: 0.513 0.341 0.191
B: 0.355 0.524 0.246
B: 0.355 0.976 0.746
B: 0.645 0.024 0.254
B: 0.645 0.476 0.754
P: 0.244 0.669 0.088
P: 0.244 0.831 0.588
P: 0.260 0.089 0.923
P: 0.260 0.411 0.423
P: 0.740 0.589 0.577
P: 0.740 0.911 0.077
P: 0.756 0.169 0.412
P: 0.756 0.331 0.912
H: 0.369 0.508 0.842
H: 0.369 0.992 0.342
H: 0.631 0.008 0.658
H: 0.631 0.492 0.158
O: 0.017 0.637 0.626
O: 0.017 0.863 0.126
O: 0.050 0.198 0.571
O: 0.050 0.302 0.071
O: 0.163 0.588 0.136
O: 0.163 0.912 0.636
O: 0.165 0.019 0.793
O: 0.165 0.481 0.293
O: 0.355 0.721 0.247
O: 0.355 0.779 0.747
O: 0.362 0.055 0.105
O: 0.362 0.445 0.605
O: 0.450 0.028 0.652
O: 0.450 0.472 0.152
O: 0.484 0.635 0.573
O: 0.484 0.865 0.073
O: 0.498 0.659 0.049
O: 0.498 0.841 0.549
O: 0.502 0.159 0.451
O: 0.502 0.341 0.951
O: 0.516 0.135 0.927
O: 0.516 0.365 0.427
O: 0.550 0.528 0.848
O: 0.550 0.972 0.348
O: 0.638 0.555 0.395
O: 0.638 0.945 0.895
O: 0.645 0.221 0.253
O: 0.645 0.279 0.753
O: 0.835 0.519 0.707
O: 0.835 0.981 0.207
O: 0.837 0.088 0.364
O: 0.837 0.412 0.864
O: 0.950 0.698 0.929
O: 0.950 0.802 0.429
O: 0.983 0.137 0.874
O: 0.983 0.363 0.374

Principal peaks in the range 2θ from 5° to 70°, by angle:
2theta, intensity
15.4, 100
20.0, 73
20.6, 62
21.1, 38
26.9, 38
28.4, 36
29.8, 83
31.2, 39
33.4, 65
34.8, 38


No. 4
Computed PXRD pattern of BHIr for λ = 1.5418 Å (Cu Kα), from a cell relaxed with PBE.
No peak broadening, texture or thermal motion is included.

a b c (Å): 4.973 4.601 4.213
angles (deg): 68.53 59.44 52.03
Fractional positions:
B: 0.165 0.835 0.835
B: 0.835 0.165 0.165
H: 0.338 0.338 0.662
H: 0.662 0.662 0.338
Ir: 0.296 0.704 0.296
Ir: 0.704 0.296 0.704

Principal peaks in the range 2θ from 5° to 70°, by angle:
2theta, intensity
23.7, 100
24.6, 23
27.3, 39
33.6, 37
36.5, 39
41.6, 41
43.9, 26
46.7, 37
50.5, 36
58.9, 19


No. 5
Computed PXRD pattern of Zr2BHIr6 for λ = 1.5418 Å (Cu Kα), from a cell relaxed with PBE.
No peak broadening, texture or thermal motion is included.

a b c (Å): 5.801 5.801 5.801
angles (deg): 120.05 120.05 89.92
Fractional positions:
Zr: 0.250 0.750 0.500
Zr: 0.750 0.250 0.500
B: 0.000 0.000 0.000
H: 0.500 0.500 0.000
Ir: 0.255 0.255 0.000
Ir: 0.255 0.255 0.511
Ir: 0.255 0.745 0.000
Ir: 0.745 0.255 0.000
Ir: 0.745 0.745 0.000
Ir: 0.745 0.745 0.489

Principal peaks in the range 2θ from 5° to 70°, by angle:
2theta, intensity
21.7, 7
30.8, 5
38.0, 100
44.2, 51
49.7, 3
54.8, 2
58.5, 1
64.2, 33
68.6, 1
68.7, 1